The following is a computed XRD peak list of MgTiCu4S4. It was derived from the GGA-PBE geometry in the Materials Project, using λ = 1.5418 Å (Cu Kα).
Lines closer than 0.1° are merged.

Peak list (6 most intense, 2θ from 15° to 90°, sorted by position)
| two_theta | Rel. int. |
| --- | --- |
| 27.84 | 100 |
| 32.44 | 27 |
| 46.13 | 91 |
| 46.54 | 45 |
| 55.11 | 26 |
| 86.06 | 27 |

a b c (Å): 6.836 6.836 6.836
angles (deg): 132.38 132.38 69.62
Element x y z (fractional)
Mg 0.000 0.000 0.000
Ti 0.500 0.500 0.000
Cu 0.000 0.500 0.500
Cu 0.248 0.248 0.000
Cu 0.500 0.000 0.500
Cu 0.752 0.752 0.000
S 0.124 0.615 0.000
S 0.385 0.385 0.508
S 0.615 0.124 0.000
S 0.876 0.876 0.492